[1]
Calculated X-ray powder pattern of NaCaNb2O6F for CuKα, from a crystal structure in the Materials Project, relaxed with GGA-PBE.

Peak list (10 most intense, 2θ = 10–90°, low angle first)
- 2θ 14.44, d = 6.134 Å, I 59.5
- 2θ 14.56, d = 6.084 Å, I 31.2
- 2θ 27.90, d = 3.198 Å, I 30.4
- 2θ 28.04, d = 3.182 Å, I 35.8
- 2θ 29.11, d = 3.067 Å, I 99.0
- 2θ 29.36, d = 3.042 Å, I 100.0
- 2θ 33.89, d = 2.645 Å, I 41.3
- 2θ 48.69, d = 1.870 Å, I 68.3
- 2θ 57.57, d = 1.601 Å, I 27.7
- 2θ 58.00, d = 1.590 Å, I 26.1

Crystal structure
abc: 7.4815 7.4815 7.4815
angles: 120.38 119.56 90.05
Element x y z (fractional)
Na 0.5000 0.0000 0.0000
Na 0.5000 0.5000 0.5000
Ca 0.0000 0.0000 0.0000
Ca 0.5000 0.0000 0.5000
Nb 0.0000 0.0000 0.5000
Nb 0.0000 0.5000 0.0000
Nb 0.0000 0.5000 0.5000
Nb 0.5000 0.5000 0.0000
O 0.0635 0.4267 0.2436
O 0.0635 0.8199 0.6368
O 0.0726 0.8226 0.2500
O 0.3134 0.5634 0.7500
O 0.3169 0.1801 0.7436
O 0.3169 0.5733 0.1368
O 0.6831 0.4267 0.8632
O 0.6831 0.8199 0.2564
O 0.6866 0.4366 0.2500
O 0.9274 0.1774 0.7500
O 0.9365 0.1801 0.3632
O 0.9365 0.5733 0.7564
F 0.3682 0.1182 0.2500
F 0.6318 0.8818 0.7500

[2]
Calculated X-ray powder pattern of Na2Ca2P2O7F2 for CuKα, from a crystal structure in the Materials Project, relaxed with GGA-PBE.

Peak list (10 most intense, 2θ = 10–90°, low angle first)
- 2θ 20.97, d = 4.236 Å, I 9.9
- 2θ 26.99, d = 3.303 Å, I 17.0
- 2θ 29.12, d = 3.067 Å, I 100.0
- 2θ 30.34, d = 2.946 Å, I 12.9
- 2θ 30.41, d = 2.940 Å, I 17.1
- 2θ 30.52, d = 2.929 Å, I 14.3
- 2θ 30.66, d = 2.916 Å, I 39.6
- 2θ 30.83, d = 2.900 Å, I 27.3
- 2θ 48.32, d = 1.884 Å, I 24.2
- 2θ 52.78, d = 1.734 Å, I 13.7

Crystal structure
abc: 7.5346 10.5611 11.1015
angles: 90.34 109.63 90.08
Element x y z (fractional)
Na 0.0000 0.0000 0.0000
Na 0.0218 0.2555 0.5192
Na 0.2028 0.7743 0.8628
Na 0.3108 0.9644 0.6220
Na 0.3855 0.4685 0.7421
Na 0.5234 0.9949 0.0072
Na 0.8184 0.2804 0.1092
Na 0.8712 0.7783 0.2324
Ca 0.1771 0.4933 0.3471
Ca 0.3197 0.2565 0.1325
Ca 0.3663 0.8102 0.2446
Ca 0.5032 0.2397 0.5076
Ca 0.6813 0.7542 0.8606
Ca 0.6989 0.4846 0.3451
Ca 0.8291 0.9684 0.6233
Ca 0.8691 0.4583 0.7414
P 0.0446 0.6899 0.5631
P 0.0739 0.0606 0.3084
P 0.0823 0.5580 0.0522
P 0.1955 0.1962 0.8069
P 0.4936 0.5611 0.0666
P 0.5270 0.6978 0.5512
P 0.6185 0.1900 0.7978
P 0.7465 0.0589 0.3077
O 0.0011 0.6218 0.4334
O 0.0340 0.8336 0.5559
O 0.0849 0.1461 0.1974
O 0.0857 0.1063 0.6993
O 0.0917 0.4192 0.0951
O 0.0959 0.6454 0.1664
O 0.1250 0.9232 0.2874
O 0.1362 0.3350 0.7751
O 0.1924 0.6371 0.6809
O 0.2033 0.1142 0.4391
O 0.2040 0.1559 0.9407
O 0.2670 0.5890 0.0116
O 0.3672 0.6693 0.4260
O 0.4133 0.1864 0.8136
O 0.5256 0.4213 0.1072
O 0.5515 0.5968 0.9539
O 0.5548 0.8385 0.5816
O 0.5599 0.6148 0.6683
O 0.5732 0.6444 0.1891
O 0.6051 0.1023 0.6824
O 0.6257 0.1441 0.1964
O 0.6413 0.3270 0.7573
O 0.6705 0.9218 0.2908
O 0.6923 0.6510 0.4934
O 0.7474 0.1130 0.4399
O 0.7544 0.1495 0.9251
O 0.8668 0.6404 0.6084
O 0.9255 0.5860 0.9262
F 0.2833 0.8864 0.0532
F 0.2881 0.3777 0.5307
F 0.4264 0.3677 0.3282
F 0.4308 0.8795 0.8210
F 0.7630 0.3765 0.5359
F 0.7792 0.8678 0.0374
F 0.9105 0.8672 0.8112
F 0.9212 0.3724 0.3138

[3]
Calculated X-ray powder pattern of Na2CaPO4F for CuKα, from a crystal structure in the Materials Project, relaxed with GGA-PBE.

Peak list (10 most intense, 2θ = 10–90°, low angle first)
- 2θ 20.73, d = 4.285 Å, I 19.2
- 2θ 22.70, d = 3.918 Å, I 17.3
- 2θ 25.18, d = 3.537 Å, I 23.4
- 2θ 29.12, d = 3.067 Å, I 31.3
- 2θ 32.86, d = 2.726 Å, I 100.0
- 2θ 33.55, d = 2.671 Å, I 23.4
- 2θ 34.15, d = 2.626 Å, I 43.6
- 2θ 42.87, d = 2.109 Å, I 18.8
- 2θ 51.11, d = 1.787 Å, I 42.3
- 2θ 51.68, d = 1.769 Å, I 22.8

Crystal structure
abc: 7.1490 7.1490 14.2954
angles: 105.29 105.29 59.31
Element x y z (fractional)
Na 0.0284 0.5307 0.8019
Na 0.1146 0.6187 0.6049
Na 0.2329 0.7671 0.0000
Na 0.3981 0.8917 0.4077
Na 0.4755 0.9871 0.2013
Na 0.5307 0.0284 0.8019
Na 0.6187 0.1146 0.6049
Na 0.7671 0.2329 0.0000
Na 0.8917 0.3981 0.4077
Na 0.9871 0.4755 0.2013
Ca 0.0112 0.0112 0.8043
Ca 0.4942 0.4942 0.1990
Ca 0.6358 0.6358 0.6045
Ca 0.7676 0.7676 0.0012
Ca 0.8713 0.8713 0.4038
P 0.1134 0.1134 0.5955
P 0.2508 0.2508 0.9974
P 0.3900 0.3900 0.3935
P 0.5244 0.5244 0.7931
P 0.9852 0.9852 0.2076
O 0.0070 0.3672 0.6300
O 0.0131 0.0131 0.6399
O 0.0666 0.0666 0.4808
O 0.1451 0.1451 0.0329
O 0.1478 0.5029 0.0396
O 0.1599 0.5192 0.4272
O 0.2134 0.2134 0.8823
O 0.2386 0.8739 0.2431
O 0.2957 0.6565 0.8286
O 0.3587 0.3587 0.2782
O 0.3672 0.0070 0.6300
O 0.4908 0.4908 0.6783
O 0.5029 0.1478 0.0396
O 0.5192 0.1599 0.4272
O 0.5210 0.5210 0.4382
O 0.6559 0.6559 0.8359
O 0.6565 0.2957 0.8286
O 0.8739 0.2386 0.2431
O 0.8783 0.8783 0.2430
O 0.9499 0.9499 0.0950
F 0.6132 0.6132 0.0774
F 0.6826 0.6826 0.2969
F 0.7578 0.7578 0.5066
F 0.8223 0.8223 0.7070
F 0.8886 0.8886 0.9032